Record 1
Simulated powder diffraction line list of RbPaTcN3 for Cu Kα, from a cell relaxed with PBE.

Largest 12 diffraction maxima, by intensity, 2θ = 5–70°:
| 2θ (°) | I_rel |
| --- | --- |
| 13.1 | 100 |
| 32.1 | 54 |
| 26.4 | 51 |
| 31.2 | 31 |
| 28.1 | 17 |
| 35.7 | 16 |
| 44.2 | 16 |
| 38.2 | 16 |
| 52.9 | 15 |
| 52.3 | 12 |
| 29.5 | 12 |
| 57.2 | 12 |

a b c (Å): 7.5632 3.5347 9.5260
angles (deg): 90.00 108.40 90.00
Atoms (fractional coordinates):
1 Rb 0.2257 0.2500 0.2444
2 Rb 0.7743 0.7500 0.7556
3 Pa 0.3433 0.2500 0.8500
4 Pa 0.6567 0.7500 0.1500
5 Tc 0.1194 0.7500 0.5624
6 Tc 0.8806 0.2500 0.4376
7 N 0.0497 0.2500 0.6537
8 N 0.3520 0.7500 0.0007
9 N 0.3700 0.7500 0.7025
10 N 0.6300 0.2500 0.2975
11 N 0.6480 0.2500 0.9993
12 N 0.9503 0.7500 0.3463


Record 2
Simulated powder diffraction line list of PaReN4 for Cu Kα, from a cell relaxed with PBE.

Largest 12 diffraction maxima, by intensity, 2θ = 5–70°:
| 2θ (°) | I_rel |
| --- | --- |
| 25.7 | 100 |
| 32.5 | 48 |
| 33.3 | 24 |
| 32.8 | 24 |
| 49.2 | 18 |
| 35.6 | 18 |
| 50.3 | 17 |
| 49.6 | 17 |
| 51.0 | 17 |
| 52.9 | 15 |
| 37.8 | 15 |
| 62.0 | 10 |

a b c (Å): 5.7524 5.0374 5.8308
angles (deg): 90.00 110.68 90.00
Atoms (fractional coordinates):
1 Pa 0.0000 0.0000 0.0000
2 Pa 0.0000 0.5000 0.5000
3 Re 0.5000 0.0000 0.5000
4 Re 0.5000 0.5000 0.0000
5 N 0.1690 0.1535 0.3802
6 N 0.1690 0.3465 0.8802
7 N 0.3838 0.7114 0.6970
8 N 0.3838 0.7886 0.1970
9 N 0.6162 0.2114 0.8030
10 N 0.6162 0.2886 0.3030
11 N 0.8310 0.6535 0.1198
12 N 0.8310 0.8465 0.6198


Record 3
Simulated powder diffraction line list of Sm2PaReN5 for Cu Kα, from a cell relaxed with PBE.

Largest 12 diffraction maxima, by intensity, 2θ = 5–70°:
| 2θ (°) | I_rel |
| --- | --- |
| 31.2 | 100 |
| 38.4 | 31 |
| 50.3 | 19 |
| 41.7 | 17 |
| 58.0 | 13 |
| 55.6 | 13 |
| 62.7 | 11 |
| 26.9 | 9 |
| 65.0 | 8 |
| 65.2 | 5 |
| 43.2 | 4 |
| 24.6 | 3 |

a b c (Å): 7.3961 7.3961 7.3961
angles (deg): 126.78 126.78 78.61
Atoms (fractional coordinates):
1 Sm 0.1693 0.6693 0.8385
2 Sm 0.3307 0.1693 0.5000
3 Sm 0.6693 0.8307 0.5000
4 Sm 0.8307 0.3307 0.1615
5 Pa 0.2500 0.2500 0.0000
6 Pa 0.7500 0.7500 0.0000
7 Re 0.2500 0.7500 0.5000
8 Re 0.7500 0.2500 0.5000
9 N 0.0000 0.0000 0.0000
10 N 0.0083 0.1986 0.5000
11 N 0.1986 0.6986 0.1903
12 N 0.3014 0.4917 0.5000
13 N 0.4917 0.9917 0.1903
14 N 0.5000 0.5000 0.0000
15 N 0.5083 0.0083 0.8097
16 N 0.6986 0.5083 0.5000
17 N 0.8014 0.3014 0.8097
18 N 0.9917 0.8014 0.5000


Record 4
Simulated powder diffraction line list of Pa2TiReN6 for Cu Kα, from a cell relaxed with PBE.

Largest 12 diffraction maxima, by intensity, 2θ = 5–70°:
| 2θ (°) | I_rel |
| --- | --- |
| 30.1 | 100 |
| 33.4 | 39 |
| 57.6 | 33 |
| 51.3 | 21 |
| 47.9 | 19 |
| 18.6 | 18 |
| 44.9 | 16 |
| 67.8 | 9 |
| 38.5 | 9 |
| 16.5 | 9 |
| 37.8 | 9 |
| 62.6 | 9 |

a b c (Å): 5.3678 5.3678 4.7654
angles (deg): 90.00 90.00 90.00
Atoms (fractional coordinates):
1 Pa 0.0000 0.5000 0.0000
2 Pa 0.5000 0.0000 0.0000
3 Ti 0.0000 0.0000 0.5947
4 Re 0.5000 0.5000 0.5901
5 N 0.0000 0.0000 0.2075
6 N 0.2512 0.2512 0.7490
7 N 0.2512 0.7488 0.7490
8 N 0.5000 0.5000 0.2152
9 N 0.7488 0.2512 0.7490
10 N 0.7488 0.7488 0.7490


Record 5
Simulated powder diffraction line list of Pa2ZnReN6 for Cu Kα, from a cell relaxed with PBE.

Largest 12 diffraction maxima, by intensity, 2θ = 5–70°:
| 2θ (°) | I_rel |
| --- | --- |
| 29.8 | 100 |
| 33.9 | 37 |
| 58.2 | 32 |
| 50.2 | 22 |
| 48.8 | 18 |
| 17.7 | 17 |
| 43.5 | 15 |
| 35.9 | 10 |
| 62.0 | 9 |
| 67.4 | 8 |
| 60.8 | 8 |
| 66.3 | 7 |

a b c (Å): 5.2828 5.2828 5.0034
angles (deg): 90.00 90.00 90.00
Atoms (fractional coordinates):
1 Pa 0.0000 0.5000 0.0000
2 Pa 0.5000 0.0000 0.0000
3 Zn 0.0000 0.0000 0.5576
4 Re 0.5000 0.5000 0.5990
5 N 0.0000 0.0000 0.1713
6 N 0.2579 0.2579 0.7548
7 N 0.2579 0.7421 0.7548
8 N 0.5000 0.5000 0.2374
9 N 0.7421 0.2579 0.7548
10 N 0.7421 0.7421 0.7548


Record 6
Simulated powder diffraction line list of Pa2RhS2N2 for Cu Kα, from a cell relaxed with PBE.

Largest 12 diffraction maxima, by intensity, 2θ = 5–70°:
| 2θ (°) | I_rel |
| --- | --- |
| 27.9 | 100 |
| 31.5 | 63 |
| 8.3 | 56 |
| 46.9 | 32 |
| 43.4 | 29 |
| 25.1 | 27 |
| 53.9 | 21 |
| 50.8 | 18 |
| 58.9 | 16 |
| 55.4 | 15 |
| 36.9 | 14 |
| 57.6 | 12 |

a b c (Å): 3.8748 3.8748 10.6414
angles (deg): 90.00 90.00 120.00
Atoms (fractional coordinates):
1 Pa 0.3333 0.6667 0.1387
2 Pa 0.6667 0.3333 0.8613
3 Rh 0.0000 0.0000 0.5000
4 S 0.0000 0.0000 0.2884
5 S 0.0000 0.0000 0.7116
6 N 0.3333 0.6667 0.9226
7 N 0.6667 0.3333 0.0774


Record 7
Simulated powder diffraction line list of SmPa2RhN5 for Cu Kα, from a cell relaxed with PBE.

Largest 12 diffraction maxima, by intensity, 2θ = 5–70°:
| 2θ (°) | I_rel |
| --- | --- |
| 29.0 | 100 |
| 37.7 | 83 |
| 32.6 | 73 |
| 31.2 | 70 |
| 32.1 | 69 |
| 55.8 | 36 |
| 26.9 | 35 |
| 45.8 | 35 |
| 33.8 | 34 |
| 40.2 | 26 |
| 53.7 | 25 |
| 62.2 | 25 |

a b c (Å): 7.1119 7.1119 10.3020
angles (deg): 90.00 90.00 152.20
Atoms (fractional coordinates):
1 Sm 0.2002 0.7998 0.5000
2 Sm 0.7998 0.2002 0.0000
3 Pa 0.1030 0.8970 0.1882
4 Pa 0.1343 0.8657 0.7979
5 Pa 0.8657 0.1343 0.2979
6 Pa 0.8970 0.1030 0.6882
7 Rh 0.4785 0.5215 0.9653
8 Rh 0.5215 0.4785 0.4653
9 N 0.0472 0.9528 0.5933
10 N 0.2818 0.7182 0.1938
11 N 0.3436 0.6564 0.8469
12 N 0.3715 0.6285 0.5190
13 N 0.4771 0.5229 0.2807
14 N 0.5229 0.4771 0.7807
15 N 0.6285 0.3715 0.0190
16 N 0.6564 0.3436 0.3469
17 N 0.7182 0.2818 0.6938
18 N 0.9528 0.0472 0.0933


Record 8
Simulated powder diffraction line list of ThPa2RhN5 for Cu Kα, from a cell relaxed with PBE.

Largest 12 diffraction maxima, by intensity, 2θ = 5–70°:
| 2θ (°) | I_rel |
| --- | --- |
| 28.9 | 100 |
| 37.5 | 98 |
| 32.3 | 69 |
| 30.9 | 62 |
| 31.9 | 51 |
| 45.3 | 45 |
| 33.5 | 45 |
| 55.5 | 40 |
| 26.7 | 37 |
| 26.9 | 33 |
| 39.6 | 33 |
| 53.2 | 31 |

a b c (Å): 7.2017 7.2017 10.3169
angles (deg): 90.00 90.00 152.34
Atoms (fractional coordinates):
1 Th 0.2017 0.7983 0.5000
2 Th 0.7983 0.2017 0.0000
3 Pa 0.0971 0.9029 0.1840
4 Pa 0.1309 0.8691 0.7994
5 Pa 0.8691 0.1309 0.2994
6 Pa 0.9029 0.0971 0.6840
7 Rh 0.4798 0.5202 0.9569
8 Rh 0.5202 0.4798 0.4569
9 N 0.0483 0.9517 0.5882
10 N 0.2824 0.7176 0.1860
11 N 0.3461 0.6539 0.8419
12 N 0.3721 0.6279 0.5060
13 N 0.4783 0.5217 0.2709
14 N 0.5217 0.4783 0.7709
15 N 0.6279 0.3721 0.0060
16 N 0.6539 0.3461 0.3419
17 N 0.7176 0.2824 0.6860
18 N 0.9517 0.0483 0.0882


Record 9
Simulated powder diffraction line list of Zr2PaRhN4 for Cu Kα, from a cell relaxed with PBE.

Largest 12 diffraction maxima, by intensity, 2θ = 5–70°:
| 2θ (°) | I_rel |
| --- | --- |
| 32.5 | 100 |
| 39.9 | 86 |
| 28.5 | 57 |
| 32.0 | 56 |
| 15.7 | 51 |
| 31.6 | 40 |
| 37.4 | 37 |
| 52.0 | 28 |
| 45.6 | 24 |
| 43.0 | 23 |
| 55.1 | 19 |
| 56.1 | 18 |

a b c (Å): 5.8299 5.8299 11.3167
angles (deg): 90.00 90.00 147.31
Atoms (fractional coordinates):
1 Zr 0.1291 0.8709 0.5548
2 Zr 0.1291 0.8709 0.9452
3 Zr 0.8709 0.1291 0.0548
4 Zr 0.8709 0.1291 0.4452
5 Pa 0.3842 0.6158 0.7500
6 Pa 0.6158 0.3842 0.2500
7 Rh 0.3460 0.6540 0.2500
8 Rh 0.6540 0.3460 0.7500
9 N 0.0205 0.9795 0.7500
10 N 0.2190 0.7810 0.1136
11 N 0.2190 0.7810 0.3864
12 N 0.5000 0.5000 0.0000
13 N 0.5000 0.5000 0.5000
14 N 0.7810 0.2190 0.6136
15 N 0.7810 0.2190 0.8864
16 N 0.9795 0.0205 0.2500


Record 10
Simulated powder diffraction line list of Pa4RuN7 for Cu Kα, from a cell relaxed with PBE.

Largest 12 diffraction maxima, by intensity, 2θ = 5–70°:
| 2θ (°) | I_rel |
| --- | --- |
| 31.4 | 100 |
| 30.7 | 94 |
| 32.1 | 78 |
| 57.3 | 33 |
| 47.1 | 25 |
| 46.8 | 25 |
| 27.9 | 21 |
| 56.0 | 21 |
| 54.6 | 20 |
| 25.0 | 17 |
| 45.0 | 16 |
| 30.0 | 14 |

a b c (Å): 6.6900 6.6900 9.0825
angles (deg): 130.89 130.89 33.54
Atoms (fractional coordinates):
1 Pa 0.0784 0.0784 0.3745
2 Pa 0.2509 0.2509 0.1665
3 Pa 0.7491 0.7491 0.8335
4 Pa 0.9216 0.9216 0.6255
5 Ru 0.5000 0.5000 0.0000
6 N 0.0000 0.0000 0.0000
7 N 0.1283 0.1283 0.6774
8 N 0.3034 0.3034 0.4611
9 N 0.3979 0.3979 0.1108
10 N 0.6021 0.6021 0.8892
11 N 0.6966 0.6966 0.5389
12 N 0.8717 0.8717 0.3226


Record 11
Simulated powder diffraction line list of Pa2RuSe2N2 for Cu Kα, from a cell relaxed with PBE.

Largest 12 diffraction maxima, by intensity, 2θ = 5–70°:
| 2θ (°) | I_rel |
| --- | --- |
| 27.6 | 100 |
| 7.7 | 66 |
| 30.8 | 62 |
| 46.8 | 39 |
| 41.3 | 36 |
| 35.5 | 27 |
| 62.6 | 20 |
| 23.2 | 15 |
| 55.1 | 15 |
| 55.2 | 15 |
| 47.9 | 13 |
| 39.1 | 13 |

a b c (Å): 3.8813 3.8813 11.5075
angles (deg): 90.00 90.00 120.00
Atoms (fractional coordinates):
1 Pa 0.3333 0.6667 0.1260
2 Pa 0.6667 0.3333 0.8740
3 Ru 0.0000 0.0000 0.5000
4 Se 0.0000 0.0000 0.2886
5 Se 0.0000 0.0000 0.7114
6 N 0.3333 0.6667 0.9275
7 N 0.6667 0.3333 0.0725


Record 12
Simulated powder diffraction line list of Pa3Si2Ru5N2 for Cu Kα, from a cell relaxed with PBE.

Largest 12 diffraction maxima, by intensity, 2θ = 5–70°:
| 2θ (°) | I_rel |
| --- | --- |
| 39.1 | 100 |
| 29.3 | 50 |
| 44.3 | 49 |
| 34.7 | 35 |
| 22.1 | 23 |
| 7.7 | 23 |
| 60.7 | 20 |
| 54.0 | 20 |
| 39.4 | 18 |
| 49.2 | 18 |
| 30.9 | 16 |
| 64.4 | 16 |

a b c (Å): 11.7908 11.7908 11.7908
angles (deg): 160.01 160.01 28.41
Atoms (fractional coordinates):
1 Pa 0.0000 0.0000 0.0000
2 Pa 0.1866 0.1866 0.0000
3 Pa 0.8134 0.8134 0.0000
4 Si 0.3584 0.3584 0.0000
5 Si 0.6416 0.6416 0.0000
6 Ru 0.0898 0.5898 0.5000
7 Ru 0.4102 0.9102 0.5000
8 Ru 0.5000 0.5000 0.0000
9 Ru 0.5898 0.0898 0.5000
10 Ru 0.9102 0.4102 0.5000
11 N 0.2805 0.2805 0.0000
12 N 0.7195 0.7195 0.0000